No. 1
The following is a computed PXRD pattern of PmZrIrO6. It was derived from a DFT-relaxed cell (PBE, Alexandria), using Cu Kα (λ = 1.5418 Å).
Kinematic intensities with the Lorentz-polarization factor, no thermal factor.

Most intense lines, 2θ from 15° to 90°, sorted by position:
| two_theta | I/Imax |
| --- | --- |
| 25.33 | 100 |
| 32.44 | 86 |
| 36.13 | 26 |
| 49.33 | 68 |
| 52.02 | 19 |
| 62.66 | 20 |

Lattice parameters (Å, degrees): 4.9718 4.9718 9.9558 90.00 90.00 90.00
Element x y z (fractional)
1 Pm 0.0000 0.0000 0.0000
2 Pm 0.5000 0.5000 0.5000
3 Zr 0.0000 0.0000 0.6607
4 Zr 0.5000 0.5000 0.1607
5 Ir 0.0000 0.0000 0.3259
6 Ir 0.5000 0.5000 0.8259
7 O 0.1749 0.1749 0.4839
8 O 0.2034 0.2034 0.1825
9 O 0.2209 0.2209 0.8119
10 O 0.2791 0.7209 0.3119
11 O 0.2966 0.7034 0.6825
12 O 0.3251 0.6749 0.9839
13 O 0.6749 0.3251 0.9839
14 O 0.7034 0.2966 0.6825
15 O 0.7209 0.2791 0.3119
16 O 0.7791 0.7791 0.8119
17 O 0.7966 0.7966 0.1825
18 O 0.8251 0.8251 0.4839

=====

No. 2
The following is a computed PXRD pattern of PrScIrO6. It was derived from a DFT-relaxed cell (PBE, Alexandria), using Cu Kα (λ = 1.5418 Å).
Kinematic intensities with the Lorentz-polarization factor, no thermal factor.

Most intense lines, 2θ from 15° to 90°, sorted by position:
| two_theta | I/Imax |
| --- | --- |
| 21.09 | 40 |
| 25.95 | 100 |
| 33.60 | 40 |
| 42.93 | 25 |
| 49.28 | 44 |
| 55.59 | 24 |

Lattice parameters (Å, degrees): 5.3352 5.3352 10.2619 90.00 90.00 120.00
Element x y z (fractional)
1 Pr 0.0000 0.0000 0.0000
2 Pr 0.0000 0.0000 0.5000
3 Sc 0.3333 0.6667 0.2500
4 Sc 0.6667 0.3333 0.7500
5 Ir 0.3333 0.6667 0.7500
6 Ir 0.6667 0.3333 0.2500
7 O 0.0223 0.3730 0.6424
8 O 0.0223 0.6493 0.8576
9 O 0.3507 0.3730 0.8576
10 O 0.3507 0.9777 0.6424
11 O 0.3730 0.0223 0.1424
12 O 0.3730 0.3507 0.3576
13 O 0.6270 0.6493 0.6424
14 O 0.6270 0.9777 0.8576
15 O 0.6493 0.0223 0.3576
16 O 0.6493 0.6270 0.1424
17 O 0.9777 0.3507 0.1424
18 O 0.9777 0.6270 0.3576